Structure and simulated powder X-ray diffraction pattern of Pm2B10Pd (a DFT-relaxed cell (GGA-PBE, Alexandria); λ = 1.5418 Å (Cu Kα)).
Lines closer than 0.1° are merged.

Structure:
abc: 5.7467 11.4455 4.2029
angles: 90.00 90.00 90.00
Fractional coordinates of all 26 atoms:
Pm 0.1915 0.1394 0.0000
Pm 0.3085 0.6394 0.0000
Pm 0.6915 0.3606 0.0000
Pm 0.8085 0.8606 0.0000
B 0.0564 0.3061 0.5000
B 0.1162 0.9557 0.5000
B 0.1381 0.8022 0.5000
B 0.2199 0.3802 0.1981
B 0.2199 0.3802 0.8019
B 0.2801 0.8802 0.1981
B 0.2801 0.8802 0.8019
B 0.3619 0.3022 0.5000
B 0.3838 0.4557 0.5000
B 0.4436 0.8061 0.5000
B 0.5564 0.1939 0.5000
B 0.6162 0.5443 0.5000
B 0.6381 0.6978 0.5000
B 0.7199 0.1198 0.1981
B 0.7199 0.1198 0.8019
B 0.7801 0.6198 0.1981
B 0.7801 0.6198 0.8019
B 0.8619 0.1978 0.5000
B 0.8838 0.0443 0.5000
B 0.9436 0.6939 0.5000
Pd 0.0000 0.5000 0.5000
Pd 0.5000 0.0000 0.5000

Top 10 peaks for 10° ≤ 2θ ≤ 90°, by intensity:
hkl	d_spacing	2theta	intensity
1 2 1	2.918	30.64	100
1 2 0	4.055	21.92	67
0 4 1	2.365	38.04	60
1 1 1	3.253	27.42	47
2 0 1	2.372	37.93	44
1 2 2	1.866	48.81	27
1 3 0	3.178	28.07	27
2 4 0	2.028	44.70	27
0 0 2	2.101	43.04	23
3 3 1	1.585	58.19	22